# TbYBiSe
Computed X-ray powder pattern, Cu Kα X-rays. Input: a cell relaxed with GGA-PBE.
Kinematic intensities with the Lorentz-polarization factor, no thermal factor.

Most intense lines, 2θ = 10–80°, by angle:
h k l, 2θ/deg, intensity
0 0 3, 12.07, 16
1 0 1, 24.70, 18
0 1 2, 25.69, 48
1 0 4, 29.35, 30
0 1 5, 31.84, 100
1 0 7, 37.76, 47
1 1 0, 42.88, 58
2 0 5, 54.38, 22
1 1 12, 67.72, 25
1 2 5, 71.63, 20

Structural model:
```
data_TbYBiSe
_cell_length_a 4.2185
_cell_length_b 4.2185
_cell_length_c 21.9976
_cell_angle_alpha 90.00
_cell_angle_beta 90.00
_cell_angle_gamma 120.00
_space_group_name_H-M_alt 'R 3 m'
_space_group_IT_number 160
_space_group_name_Hall 'R 3 -2"'
loop_
_atom_site_label
_atom_site_fract_x
_atom_site_fract_y
_atom_site_fract_z
_atom_site_occupancy
Tb1 0.0000 0.0000 0.0000 1
Y1 0.0000 0.0000 0.1834 1
Bi1 0.0000 0.0000 0.4250 1
Se1 0.0000 0.0000 0.5945 1
```